Computed X-ray powder pattern of BPC3 for Cu Kα, 1.54184 Å, from a PBE-relaxed structure.
Neutral-atom scattering factors, no anomalous dispersion.

Atomic structure:
```
5
Lattice="2.586 0.000 0.000 0.000 2.832 0.000 0.000 0.000 5.608" Properties=species:S:1:pos:R:3 pbc="T T T"
B 0.000 0.000 0.000
P 1.293 1.416 2.026
C 0.000 1.416 4.573
C 1.293 0.000 0.917
C 1.293 1.416 3.845
```

Peak list (12 most intense, 5 to 70 degrees two-theta, sorted by position)
15.8 deg, d 5.608, I 45, (0 0 1); 31.6 deg, d 2.832, I 50, (0 1 0); 31.9 deg, d 2.804, I 32, (0 0 2); 34.7 deg, d 2.586, I 38, (1 0 0); 35.5 deg, d 2.528, I 72, (0 1 1); 38.3 deg, d 2.348, I 100, (1 0 1); 45.5 deg, d 1.992, I 59, (0 1 2); 47.6 deg, d 1.909, I 21, (1 1 0); 50.5 deg, d 1.808, I 36, (1 1 1); 58.5 deg, d 1.578, I 18, (1 1 2); 59.2 deg, d 1.560, I 16, (0 1 3); 66.0 deg, d 1.416, I 18, (0 2 0)